Calculated XRD peak list
Compound: AcPuTe2Br
Radiation: λ = 1.5418 Å (Cu Kα)
Structure: a GGA-PBE-relaxed structure

Crystal structure
a b c (Å): 4.669 4.669 15.990
angles (deg): 90.00 90.00 90.00
Atoms (fractional coordinates):
Ac1 0.250 0.250 0.110
Ac2 0.750 0.750 0.890
Pu1 0.250 0.250 0.627
Pu2 0.750 0.750 0.373
Te1 0.250 0.250 0.311
Te2 0.250 0.250 0.892
Te3 0.750 0.750 0.108
Te4 0.750 0.750 0.689
Br1 0.250 0.750 0.500
Br2 0.750 0.250 0.500

Most intense lines, 2θ from 5° to 70°, sorted by position:
| 2theta | I/Imax | hkl |
| --- | --- | --- |
| 22.05 | 47 | 1 0 2 |
| 22.24 | 43 | 0 0 4 |
| 27.01 | 97 | 1 1 0 |
| 35.26 | 100 | 1 1 4 |
| 38.56 | 61 | 2 0 0 |
| 38.91 | 33 | 1 0 6 |
| 44.96 | 28 | 2 0 4 |
| 67.64 | 31 | 3 1 4 |